Structure and computed powder diffractogram of NaFeF4 (a structure optimized by DFT (GGA+U); Cu Kα X-rays).

Principal peaks in the range 10 to 80 degrees two-theta, low angle first:
15.65 deg, rel. 52; 24.31 deg, rel. 34; 25.84 deg, rel. 100; 31.62 deg, rel. 14; 31.95 deg, rel. 23; 36.51 deg, rel. 17; 48.69 deg, rel. 22; 49.10 deg, rel. 17; 49.81 deg, rel. 20; 51.35 deg, rel. 18; 53.13 deg, rel. 20; 62.23 deg, rel. 15

Atomic structure:
a b c (Å): 5.999 4.986 5.715
angles (deg): 90.00 109.32 90.00
Space group P2_1/c (No. 14)
Unique sites:
1 Na 0.000 0.000 0.000 (multiplicity 2)
2 Fe 0.500 0.000 0.500 (multiplicity 2)
3 F 0.196 0.157 0.393 (multiplicity 4)
4 F 0.384 0.726 0.691 (multiplicity 4)

***

Structure and computed powder diffractogram of Na2FeF4 (a structure optimized by DFT (GGA+U); Cu Kα X-rays).

Principal peaks in the range 10 to 80 degrees two-theta, low angle first:
15.60 deg, rel. 100; 23.16 deg, rel. 97; 30.25 deg, rel. 50; 31.72 deg, rel. 38; 32.24 deg, rel. 96; 44.40 deg, rel. 54; 45.69 deg, rel. 35; 47.34 deg, rel. 28; 48.04 deg, rel. 28; 49.67 deg, rel. 31; 51.70 deg, rel. 28; 56.84 deg, rel. 56

Atomic structure:
a b c (Å): 5.642 5.910 11.364
angles (deg): 90.00 90.00 90.00
Space group Pbca (No. 61)
Unique sites:
1 Na 0.003 0.074 0.153 (multiplicity 8)
2 Fe 0.000 0.000 0.500 (multiplicity 4)
3 F 0.112 0.043 0.667 (multiplicity 8)
4 F 0.193 0.198 0.956 (multiplicity 8)

***

Structure and computed powder diffractogram of NaFe4F12 (a structure optimized by DFT (GGA+U); Cu Kα X-rays).

Principal peaks in the range 10 to 80 degrees two-theta, low angle first:
22.73 deg, rel. 100; 23.20 deg, rel. 40; 32.37 deg, rel. 13; 32.71 deg, rel. 35; 46.43 deg, rel. 34; 47.42 deg, rel. 11; 52.30 deg, rel. 14; 52.53 deg, rel. 19; 53.21 deg, rel. 16; 57.95 deg, rel. 17; 58.59 deg, rel. 12; 68.54 deg, rel. 10

Atomic structure:
a b c (Å): 7.823 7.823 7.668
angles (deg): 90.00 90.00 90.00
Space group I4/mmm (No. 139)
Unique sites:
1 Na 0.000 0.000 0.000 (multiplicity 2)
2 Fe 0.250 0.250 0.250 (multiplicity 8)
3 F 0.000 0.247 0.199 (multiplicity 16)
4 F 0.209 0.209 0.500 (multiplicity 8)

***

Structure and computed powder diffractogram of Na2Fe2F7 (a structure optimized by DFT (GGA+U); Cu Kα X-rays).

Principal peaks in the range 10 to 80 degrees two-theta, low angle first:
14.04 deg, rel. 100; 27.19 deg, rel. 37; 27.56 deg, rel. 64; 27.91 deg, rel. 61; 28.29 deg, rel. 48; 30.72 deg, rel. 45; 43.01 deg, rel. 20; 48.06 deg, rel. 22; 48.72 deg, rel. 21; 49.38 deg, rel. 28; 51.63 deg, rel. 28; 65.66 deg, rel. 21

Atomic structure:
a b c (Å): 6.560 12.619 3.860
angles (deg): 90.00 90.88 90.00
Space group Cm (No. 8)
Unique sites:
1 Na 0.000 0.248 0.000 (multiplicity 4)
2 Fe 0.248 0.500 0.287 (multiplicity 2)
3 Fe 0.251 0.000 0.750 (multiplicity 2)
4 F 0.052 0.500 0.763 (multiplicity 2)
5 F 0.250 0.153 0.755 (multiplicity 4)
6 F 0.250 0.347 0.251 (multiplicity 4)
7 F 0.253 0.000 0.252 (multiplicity 2)
8 F 0.450 0.500 0.756 (multiplicity 2)

***

Structure and computed powder diffractogram of Na3Fe4F12 (a structure optimized by DFT (GGA+U); Cu Kα X-rays).

Principal peaks in the range 10 to 80 degrees two-theta, low angle first:
15.73 deg, rel. 11; 22.32 deg, rel. 100; 31.77 deg, rel. 87; 35.64 deg, rel. 15; 42.46 deg, rel. 12; 45.55 deg, rel. 58; 51.29 deg, rel. 38; 56.60 deg, rel. 53; 66.38 deg, rel. 24; 70.99 deg, rel. 11; 73.25 deg, rel. 5; 75.47 deg, rel. 14

Atomic structure:
a b c (Å): 7.966 7.966 7.966
angles (deg): 90.00 90.00 90.00
Space group Im-3 (No. 204)
Unique sites:
1 Na 0.000 0.000 0.500 (multiplicity 6)
2 Fe 0.250 0.250 0.250 (multiplicity 8)
3 F 0.000 0.210 0.298 (multiplicity 24)

***

Structure and computed powder diffractogram of Na8Fe6P6O24F9 (a structure optimized by DFT (GGA+U); Cu Kα X-rays).

Principal peaks in the range 10 to 80 degrees two-theta, low angle first:
16.13 deg, rel. 44; 16.35 deg, rel. 70; 19.70 deg, rel. 22; 28.00 deg, rel. 87; 28.38 deg, rel. 53; 32.59 deg, rel. 100; 43.40 deg, rel. 23; 44.10 deg, rel. 22; 44.97 deg, rel. 22; 53.05 deg, rel. 19; 57.87 deg, rel. 25; 61.05 deg, rel. 17

Atomic structure:
a b c (Å): 21.069 9.000 7.055
angles (deg): 90.00 98.77 90.00
Space group C2/m (No. 12)
Unique sites:
1 Na 0.066 0.000 0.368 (multiplicity 4)
2 Na 0.086 0.500 0.330 (multiplicity 4)
3 Na 0.178 0.289 0.138 (multiplicity 8)
4 Fe 0.060 0.500 0.749 (multiplicity 4)
5 Fe 0.105 0.000 0.923 (multiplicity 4)
6 Fe 0.229 0.000 0.411 (multiplicity 4)
7 P 0.000 0.251 0.000 (multiplicity 4)
8 P 0.165 0.250 0.668 (multiplicity 8)
9 O 0.002 0.350 0.821 (multiplicity 8)
10 O 0.061 0.155 0.054 (multiplicity 8)
11 O 0.106 0.352 0.620 (multiplicity 8)
12 O 0.162 0.154 0.849 (multiplicity 8)
13 O 0.167 0.154 0.487 (multiplicity 8)
14 O 0.228 0.339 0.717 (multiplicity 8)
15 F 0.000 0.500 0.500 (multiplicity 2)
16 F 0.046 0.000 0.693 (multiplicity 4)
17 F 0.117 0.500 0.995 (multiplicity 4)
18 F 0.165 0.000 0.167 (multiplicity 4)
19 F 0.207 0.500 0.355 (multiplicity 4)

***

Structure and computed powder diffractogram of Na2FeSO4F3 (a structure optimized by DFT (GGA+U); Cu Kα X-rays).

Principal peaks in the range 10 to 80 degrees two-theta, low angle first:
12.59 deg, rel. 27; 16.51 deg, rel. 19; 16.89 deg, rel. 61; 20.48 deg, rel. 22; 24.92 deg, rel. 35; 27.36 deg, rel. 32; 27.76 deg, rel. 34; 28.14 deg, rel. 30; 29.43 deg, rel. 100; 35.08 deg, rel. 33; 55.79 deg, rel. 32; 57.32 deg, rel. 23

Atomic structure:
a b c (Å): 5.736 7.358 7.510
angles (deg): 90.00 110.60 90.00
Space group P2_1/m (No. 11)
Unique sites:
1 Na 0.000 0.000 0.000 (multiplicity 2)
2 Na 0.442 0.250 0.307 (multiplicity 2)
3 Fe 0.000 0.000 0.500 (multiplicity 2)
4 S 0.397 0.250 0.833 (multiplicity 2)
5 O 0.261 0.250 0.968 (multiplicity 2)
6 O 0.323 0.084 0.707 (multiplicity 4)
7 O 0.333 0.750 0.069 (multiplicity 2)
8 F 0.147 0.750 0.531 (multiplicity 2)
9 F 0.149 0.049 0.315 (multiplicity 4)

***

Structure and computed powder diffractogram of Rb3NaFe2F9 (a structure optimized by DFT (GGA+U); Cu Kα X-rays).

Principal peaks in the range 10 to 80 degrees two-theta, low angle first:
16.94 deg, rel. 3; 20.81 deg, rel. 6; 29.59 deg, rel. 100; 36.45 deg, rel. 26; 42.34 deg, rel. 49; 52.47 deg, rel. 29; 52.59 deg, rel. 9; 61.36 deg, rel. 15; 61.49 deg, rel. 13; 69.64 deg, rel. 17; 73.55 deg, rel. 6; 77.38 deg, rel. 7

Atomic structure:
a b c (Å): 6.0434 6.0434 7.3808
angles (deg): 90.00 90.00 120.00
Space group P-3m1 (No. 164)
Unique sites:
1 Rb 0.0000 0.0000 0.0000 (multiplicity 1)
2 Rb 0.3333 0.6667 0.6534 (multiplicity 2)
3 Na 0.0000 0.0000 0.5000 (multiplicity 1)
4 Fe 0.3333 0.6667 0.1613 (multiplicity 2)
5 F 0.0000 0.5000 0.0000 (multiplicity 3)
6 F 0.1763 0.3526 0.3113 (multiplicity 6)